For Sr5CeAs4, DFT lattice parameters and positions (PBE) gives the theoretical powder XRD pattern in this record (Cu Kα, 1.54184 Å).
Lines closer than 0.1° are merged.

The 10 most intense peaks (2θ = 10–80°), sorted by position:
two_theta, I_rel
10.45, 33
24.42, 14
28.51, 100
28.66, 50
40.12, 20
40.58, 38
41.16, 36
41.38, 18
50.05, 21
59.00, 12

a = 19.271 Å, b = 4.495 Å, c = 8.729 Å
α = 90.00°, β = 104.17°, γ = 90.00°
Space group C2/m (No. 12)
One atom of each set of equivalent atoms:
Sr 0.000 0.000 0.000 x2
Sr 0.161 0.500 0.825 x4
Sr 0.169 0.500 0.359 x4
Ce 0.000 0.000 0.500 x2
As 0.002 0.500 0.262 x4
As 0.163 0.000 0.596 x4